This entry pairs a crystal structure of Tb2MgSn4 with its computed powder XRD pattern. Radiation: Cu Kα X-rays. Structure: a crystal structure in Alexandria, relaxed with GGA-PBE.

Atomic structure:
```
Tb2MgSn4
1.0
4.4104 0.0000 0.0000
0.0000 4.4104 0.0000
0.0000 0.0000 9.9279
Tb Mg Sn
2 1 4
Direct
0.0000 0.5000 0.2495
0.5000 0.0000 0.7505
0.5000 0.5000 0.0000
0.0000 0.0000 0.5000
0.0000 0.5000 0.8081
0.5000 0.0000 0.1919
0.5000 0.5000 0.5000
```

Top 8 peaks for 10 to 80 degrees two-theta, by intensity:
33.94°, intensity 100, (1 1 2); 40.92°, intensity 33, (2 0 0); 70.08°, intensity 24, (3 1 2); 30.03°, intensity 20, (1 1 1); 55.76°, intensity 15, (2 0 4); 26.94°, intensity 14, (0 0 3); 49.69°, intensity 14, (2 0 3); 36.19°, intensity 13, (0 0 4)